This entry pairs a crystal structure of Na2MnCuO4 with its calculated powder diffraction line list. Radiation: a wavelength of 1.5418 Å. Structure: a crystal structure in Alexandria, relaxed with GGA+U.

Structural model:
```
data_Na2MnCuO4
_chemical_formula_sum 'Na2 Mn1 Cu1 O4'
_space_group_name_H-M_alt 'P 1 2/m 1'
_space_group_IT_number 10
_space_group_name_Hall '-P 2y'
_cell_length_a 6.0076
_cell_length_b 2.8546
_cell_length_c 6.1166
_cell_angle_alpha 90.00
_cell_angle_beta 117.45
_cell_angle_gamma 90.00
loop_
_atom_site_label
_atom_site_fract_x
_atom_site_fract_y
_atom_site_fract_z
_atom_site_occupancy
Na1 0.0000 0.0000 0.0000 1
Na2 0.0000 0.5000 0.5000 1
Mn1 0.5000 0.0000 0.5000 1
Cu1 0.5000 0.5000 0.0000 1
O1 0.2692 0.5000 0.3182 1
O2 0.3110 0.0000 0.8026 1
```

Top 6 peaks for 15° ≤ 2θ ≤ 90°, by intensity:
Position (°2θ)  I/Imax
16.63  100
34.63  98
42.77  97
56.56  40
35.92  39
55.75  36